Record 1
Structure and calculated PXRD pattern of Ti4FeP6O24 (a structure optimized by DFT (PBE+U); a wavelength of 1.5418 Å).
Lines closer than 0.1° are merged.

Structural model:
a b c (Å): 8.6494 8.6494 21.2141
angles (deg): 90.00 90.00 120.00
Space group R-3 (No. 148, hexagonal axes)
Symmetry-distinct sites (fractional):
Ti 0.0000 0.0000 0.1352 [6 per cell]
Ti 0.0000 0.0000 0.3534 [6 per cell]
Fe 0.0000 0.0000 0.5000 [3 per cell]
P 0.0063 0.7153 0.2468 [18 per cell]
O 0.0070 0.8166 0.3078 [18 per cell]
O 0.0156 0.1806 0.4203 [18 per cell]
O 0.0275 0.8298 0.1890 [18 per cell]
O 0.0371 0.8350 0.9146 [18 per cell]

Top 8 peaks for 10 to 80 degrees two-theta, low angle first:
2theta	d [Å]	intensity	hkl
12.5	7.066	20	0 0 3
20.5	4.326	53	1 1 0
24.1	3.690	100	1 1 3
31.9	2.807	21	3 -1 1
32.7	2.737	37	1 1 6
36.0	2.497	19	3 0 0
46.9	1.935	20	1 2 8
56.3	1.635	26	4 1 0

=====

Record 2
Structure and calculated PXRD pattern of TiFe3P6O24 (a structure optimized by DFT (PBE+U); a wavelength of 1.5418 Å).
Lines closer than 0.1° are merged.

Structural model:
a b c (Å): 8.7412 8.7412 22.1314
angles (deg): 90.00 90.00 120.00
Space group R3 (No. 146, hexagonal axes)
Symmetry-distinct sites (fractional):
Ti 0.0000 0.0000 0.0000 [3 per cell]
Fe 0.0000 0.0000 0.2173 [3 per cell]
Fe 0.0000 0.0000 0.5018 [3 per cell]
Fe 0.0000 0.0000 0.7168 [3 per cell]
P 0.0498 0.3824 0.7765 [9 per cell]
P 0.0511 0.6690 0.2764 [9 per cell]
O 0.0189 0.1878 0.0540 [9 per cell]
O 0.0282 0.1980 0.7691 [9 per cell]
O 0.0334 0.8335 0.2689 [9 per cell]
O 0.0345 0.8303 0.5532 [9 per cell]
O 0.1602 0.6914 0.6207 [9 per cell]
O 0.1633 0.4646 0.8332 [9 per cell]
O 0.1663 0.7010 0.3325 [9 per cell]
O 0.1673 0.4647 0.1153 [9 per cell]

Top 8 peaks for 10 to 80 degrees two-theta, low angle first:
2theta	d [Å]	intensity	hkl
14.2	6.248	46	0 1 2
19.9	4.467	55	1 0 4
20.3	4.371	26	1 1 0
23.7	3.760	100	1 1 3
28.6	3.124	47	0 2 4
31.5	2.838	15	2 1 1
31.7	2.819	32	2 -1 6
52.3	1.750	20	3 -1 10

=====

Record 3
Structure and calculated PXRD pattern of Ti2FeP3O12 (a structure optimized by DFT (PBE+U); a wavelength of 1.5418 Å).
Lines closer than 0.1° are merged.

Structural model:
a b c (Å): 8.7153 8.7153 20.7705
angles (deg): 90.00 90.00 120.00
Space group R-3c (No. 167, hexagonal axes)
Symmetry-distinct sites (fractional):
Ti 0.0000 0.0000 0.1433 [12 per cell]
Fe 0.0000 0.0000 0.0000 [6 per cell]
P 0.0000 0.2925 0.2500 [18 per cell]
O 0.0053 0.1949 0.3108 [36 per cell]
O 0.0193 0.1862 0.9238 [36 per cell]

Top 8 peaks for 10 to 80 degrees two-theta, low angle first:
2theta	d [Å]	intensity	hkl
20.4	4.358	64	1 1 0
24.1	3.688	100	1 1 3
25.1	3.547	18	2 0 2
33.0	2.711	61	1 1 6
35.7	2.516	30	3 0 0
47.3	1.920	28	1 2 8
49.4	1.844	22	2 2 6
55.8	1.647	20	4 1 0

=====

Record 4
Structure and calculated PXRD pattern of Ti5FeP6O24 (a structure optimized by DFT (PBE+U); a wavelength of 1.5418 Å).
Lines closer than 0.1° are merged.

Structural model:
a b c (Å): 8.7569 8.7569 20.3086
angles (deg): 90.00 90.00 120.00
Space group R3 (No. 146, hexagonal axes)
Symmetry-distinct sites (fractional):
Ti 0.0000 0.0000 0.0000 [3 per cell]
Ti 0.0000 0.0000 0.1422 [3 per cell]
Ti 0.0000 0.0000 0.3572 [3 per cell]
Ti 0.0000 0.0000 0.5007 [3 per cell]
Ti 0.0000 0.0000 0.6449 [3 per cell]
Fe 0.0000 0.0000 0.8567 [3 per cell]
P 0.9997 0.2959 0.7520 [9 per cell]
P 0.0013 0.7076 0.2514 [9 per cell]
O 0.0078 0.1775 0.4250 [9 per cell]
O 0.0083 0.2131 0.8153 [9 per cell]
O 0.0165 0.8263 0.9323 [9 per cell]
O 0.0226 0.8226 0.3116 [9 per cell]
O 0.1447 0.6762 0.8560 [9 per cell]
O 0.1464 0.4699 0.3573 [9 per cell]
O 0.1641 0.4854 0.7391 [9 per cell]
O 0.1672 0.6846 0.2411 [9 per cell]

Top 8 peaks for 10 to 80 degrees two-theta, low angle first:
2theta	d [Å]	intensity	hkl
20.3	4.378	57	1 1 0
24.2	3.676	100	1 1 3
31.5	2.838	15	2 1 1
33.5	2.678	52	2 -1 6
35.5	2.528	30	3 0 0
47.9	1.900	25	3 -2 8
49.6	1.838	20	4 -2 6
55.5	1.655	21	4 1 0

=====

Record 5
Structure and calculated PXRD pattern of Ti3FeP6O24 (a structure optimized by DFT (PBE+U); a wavelength of 1.5418 Å).
Lines closer than 0.1° are merged.

Structural model:
a b c (Å): 8.6745 8.6745 22.0436
angles (deg): 90.00 90.00 120.00
Space group R3 (No. 146, hexagonal axes)
Symmetry-distinct sites (fractional):
Ti 0.0000 0.0000 0.0000 [3 per cell]
Ti 0.0000 0.0000 0.2200 [3 per cell]
Ti 0.0000 0.0000 0.7188 [3 per cell]
Fe 0.0000 0.0000 0.5025 [3 per cell]
P 0.0018 0.2818 0.6092 [9 per cell]
P 0.0044 0.7188 0.1096 [9 per cell]
O 0.0262 0.8277 0.7679 [9 per cell]
O 0.0266 0.8336 0.0532 [9 per cell]
O 0.0320 0.2004 0.2673 [9 per cell]
O 0.0414 0.2069 0.5526 [9 per cell]
O 0.1628 0.6902 0.8329 [9 per cell]
O 0.1641 0.4700 0.6194 [9 per cell]
O 0.1660 0.4729 0.3327 [9 per cell]
O 0.1721 0.7040 0.1145 [9 per cell]

Top 8 peaks for 10 to 80 degrees two-theta, low angle first:
2theta	d [Å]	intensity	hkl
14.3	6.208	44	0 1 2
20.0	4.443	48	1 0 4
20.5	4.337	21	1 1 0
23.8	3.735	100	2 -1 3
28.8	3.104	42	0 2 4
31.8	2.816	15	3 -1 1
31.9	2.803	27	1 1 6
52.6	1.741	11	2 1 10

=====

Record 6
Structure and calculated PXRD pattern of TiZnFeP3O12 (a structure optimized by DFT (PBE+U); a wavelength of 1.5418 Å).
Lines closer than 0.1° are merged.

Structural model:
a b c (Å): 8.6183 8.6183 20.8726
angles (deg): 90.00 90.00 120.00
Space group R3c (No. 161, hexagonal axes)
Symmetry-distinct sites (fractional):
Ti 0.0000 0.0000 0.0000 [6 per cell]
Zn 0.0000 0.0000 0.3529 [6 per cell]
Fe 0.0000 0.0000 0.2105 [6 per cell]
P 0.0010 0.2957 0.1063 [18 per cell]
O 0.0081 0.2009 0.1663 [18 per cell]
O 0.0155 0.1825 0.7781 [18 per cell]
O 0.1456 0.4768 0.7123 [18 per cell]
O 0.1718 0.4843 0.0979 [18 per cell]

Top 8 peaks for 10 to 80 degrees two-theta, low angle first:
2theta	d [Å]	intensity	hkl
20.6	4.309	92	1 1 0
24.3	3.663	100	1 1 3
33.1	2.707	80	1 1 6
36.1	2.488	40	3 0 0
47.5	1.915	33	1 2 8
49.8	1.832	30	2 2 6
56.5	1.629	25	4 1 0
63.0	1.475	22	4 1 6